Diffraction record for AcInAg2Rh. The X-ray powder pattern is calculated, not measured: it uses a structure optimized by DFT (GGA-PBE) and Cu Ka.

Atomic structure:
a = 4.067 Å, b = 4.287 Å, c = 13.365 Å
α = 90.00°, β = 90.00°, γ = 90.00°
Space group Imm2 (No. 44)
Inequivalent atoms, fractional coordinates:
Ac 0.000 0.000 0.000
In 0.000 0.500 0.777
Ag 0.000 0.000 0.629
Ag 0.000 0.500 0.282
Rh 0.000 0.000 0.424

Principal peaks in the range 10° ≤ 2θ ≤ 90°, sorted by position:
Position (°2θ)	I (rel.)
28.90	23
29.74	24
33.19	100
39.74	21
40.38	17
40.80	18
42.16	23
44.56	20
59.82	15
63.01	14